Structure and calculated powder XRD pattern of CuAg10Pb3O12 (a GGA-PBE-relaxed structure; Cu Kα (weighted mean of Kα1 and Kα2)).
Neutral-atom scattering factors, no anomalous dispersion.

Top 6 peaks for 2θ = 10–80°, low angle first:
30.23 deg, I = 41; 32.80 deg, I = 100; 33.34 deg, I = 67; 35.05 deg, I = 32; 37.80 deg, I = 75; 55.33 deg, I = 36

Cell and atoms:
```
data_CuAg10Pb3O12
_space_group_name_H-M_alt 'C 1 2 1'
_space_group_IT_number 5
_cell_length_a 14.184
_cell_length_b 10.254
_cell_length_c 5.905
_cell_angle_alpha 90.00
_cell_angle_beta 114.48
_cell_angle_gamma 90.00
loop_
_space_group_symop_operation_xyz
'x,y,z'
'-x,y,-z'
'x+1/2,y+1/2,z'
'-x+1/2,y+1/2,-z'
loop_
_atom_site_label
_atom_site_fract_x
_atom_site_fract_y
_atom_site_fract_z
Cu1 0.000 0.000 0.000
Ag1 0.134 0.837 0.630
Ag2 0.135 0.326 0.139
Ag3 0.246 0.081 0.999
Ag4 0.247 0.082 0.497
Ag5 0.247 0.832 0.249
Pb1 0.000 0.153 0.500
Pb2 0.000 0.497 0.500
Pb3 0.000 0.676 0.000
O1 0.091 0.015 0.804
O2 0.091 0.135 0.268
O3 0.092 0.844 0.213
O4 0.096 0.329 0.717
O5 0.096 0.523 0.280
O6 0.097 0.643 0.784
```